Structure and computed XRD peak list of Mg16Al12Fe (a GGA-PBE-relaxed structure; Cu Kα (weighted mean of Kα1 and Kα2)).

```
data_Mg16Al12Fe
_chemical_formula_sum 'Mg16 Al12 Fe1'
_space_group_name_H-M_alt 'P 1'
_space_group_IT_number 1
_cell_length_a 8.8857
_cell_length_b 8.8857
_cell_length_c 8.8857
_cell_angle_alpha 108.57
_cell_angle_beta 108.57
_cell_angle_gamma 108.57
loop_
_space_group_symop_operation_xyz
'x,y,z'
loop_
_atom_site_label
_atom_site_fract_x
_atom_site_fract_y
_atom_site_fract_z
Mg1 0.0000 0.0000 0.0000
Mg2 0.0082 0.4076 0.6864
Mg3 0.0082 0.6864 0.4076
Mg4 0.0089 0.0089 0.6562
Mg5 0.0089 0.6562 0.0089
Mg6 0.3057 0.5796 0.5796
Mg7 0.3233 0.3233 0.7272
Mg8 0.3233 0.7272 0.3233
Mg9 0.4076 0.0082 0.6864
Mg10 0.4076 0.6864 0.0082
Mg11 0.5796 0.3057 0.5796
Mg12 0.5796 0.5796 0.3057
Mg13 0.6562 0.0089 0.0089
Mg14 0.6864 0.0082 0.4076
Mg15 0.6864 0.4076 0.0082
Mg16 0.7272 0.3233 0.3233
Al1 0.0123 0.1909 0.3702
Al2 0.0123 0.3702 0.1909
Al3 0.1909 0.0123 0.3702
Al4 0.1909 0.3702 0.0123
Al5 0.1970 0.8162 0.8162
Al6 0.3702 0.0123 0.1909
Al7 0.3702 0.1909 0.0123
Al8 0.6501 0.6501 0.8402
Al9 0.6501 0.8402 0.6501
Al10 0.8162 0.1970 0.8162
Al11 0.8162 0.8162 0.1970
Al12 0.8402 0.6501 0.6501
Fe1 0.2760 0.2760 0.2760
```

The 10 most intense peaks (2θ = 10–90°), in order of rising 2θ:
two_theta, I/Imax
34.62, 43
36.19, 100
36.86, 98
37.26, 88
37.39, 53
39.53, 35
41.03, 44
41.39, 51
44.29, 35
66.05, 36